Entry 1:
# Er3TiCo8
Theoretical X-ray diffraction stick pattern, Cu Kα X-rays. Input: a PBE-relaxed structure.
Intensities are scaled so that the largest is 100.

Main lines, in order of rising 2θ (5° ≤ 2θ ≤ 70°):
- 10.92°, I = 4
- 21.01°, I = 5
- 21.95°, I = 11
- 25.40°, I = 3
- 27.72°, I = 4
- 36.23°, I = 58
- 42.77°, I = 100
- 44.77°, I = 18
- 65.17°, I = 21
- 69.67°, I = 29

a b c (Å): 4.9572 4.9572 24.3090
angles (deg): 90.00 90.00 120.00
Space group R3m (No. 160, hexagonal axes)
Inequivalent atoms, fractional coordinates:
Er  0.0000  0.0000  0.0000 (multiplicity 3)
Er  0.0000  0.0000  0.1266 (multiplicity 3)
Er  0.0000  0.0000  0.6218 (multiplicity 3)
Ti  0.0000  0.0000  0.4987 (multiplicity 3)
Co  0.0000  0.0000  0.3124 (multiplicity 3)
Co  0.0000  0.0000  0.8129 (multiplicity 3)
Co  0.0040  0.5020  0.0650 (multiplicity 9)
Co  0.1683  0.3367  0.8931 (multiplicity 9)



Entry 2:
# Cs2PuRhO6
Theoretical X-ray diffraction stick pattern, Cu Kα X-rays. Input: a PBE-relaxed structure.
Intensities are scaled so that the largest is 100.

Main lines, in order of rising 2θ (5° ≤ 2θ ≤ 70°):
- 15.55°, I = 71
- 22.30°, I = 65
- 27.11°, I = 100
- 35.38°, I = 33
- 35.85°, I = 50
- 45.13°, I = 18
- 45.51°, I = 35
- 47.90°, I = 20
- 53.78°, I = 41
- 68.21°, I = 18

a b c (Å): 6.5792 6.5792 5.5783
angles (deg): 90.00 90.00 120.00
Space group P-3m1 (No. 164)
Inequivalent atoms, fractional coordinates:
Cs  0.3333  0.6667  0.1762 (multiplicity 2)
Pu  0.0000  0.0000  0.5000 (multiplicity 1)
Rh  0.0000  0.0000  0.0000 (multiplicity 1)
O  0.1331  0.2662  0.7493 (multiplicity 6)



Entry 3:
# LaGd2Dy
Theoretical X-ray diffraction stick pattern, Cu Kα X-rays. Input: a PBE-relaxed structure.
Intensities are scaled so that the largest is 100.

Main lines, in order of rising 2θ (5° ≤ 2θ ≤ 70°):
- 8.67°, I = 2
- 30.28°, I = 100
- 35.07°, I = 34
- 35.19°, I = 17
- 36.23°, I = 1
- 50.49°, I = 36
- 59.96°, I = 29
- 60.13°, I = 14
- 62.98°, I = 12

a b c (Å): 3.619 3.619 10.201
angles (deg): 90.00 90.00 90.00
Space group P4/mmm (No. 123)
Inequivalent atoms, fractional coordinates:
La  0.000  0.000  0.000 (multiplicity 1)
Gd  0.500  0.500  0.257 (multiplicity 2)
Dy  0.000  0.000  0.500 (multiplicity 1)



Entry 4:
# Rb2InCuF6
Theoretical X-ray diffraction stick pattern, Cu Kα X-rays. Input: a PBE-relaxed structure.
Intensities are scaled so that the largest is 100.

Main lines, in order of rising 2θ (5° ≤ 2θ ≤ 70°):
- 27.50°, I = 58
- 29.16°, I = 100
- 39.29°, I = 48
- 44.02°, I = 17
- 49.66°, I = 44
- 52.69°, I = 19
- 56.77°, I = 15
- 60.46°, I = 24
- 64.22°, I = 11
- 65.09°, I = 11

a b c (Å): 6.486 6.486 8.228
angles (deg): 90.00 90.00 90.00
Space group I4/mmm (No. 139)
Inequivalent atoms, fractional coordinates:
Rb  0.000  0.500  0.250 (multiplicity 4)
In  0.000  0.000  0.000 (multiplicity 2)
Cu  0.000  0.000  0.500 (multiplicity 2)
F  0.000  0.000  0.263 (multiplicity 4)
F  0.229  0.229  0.000 (multiplicity 8)



Entry 5:
# Al2SiAg7
Theoretical X-ray diffraction stick pattern, Cu Kα X-rays. Input: a PBE-relaxed structure.
Intensities are scaled so that the largest is 100.

Main lines, in order of rising 2θ (5° ≤ 2θ ≤ 70°):
- 17.93°, I = 14
- 28.50°, I = 33
- 38.35°, I = 43
- 38.48°, I = 73
- 38.67°, I = 100
- 40.57°, I = 19
- 40.70°, I = 42
- 40.81°, I = 68
- 42.90°, I = 35
- 68.41°, I = 14

a b c (Å): 7.007 6.991 7.018
angles (deg): 90.00 90.58 90.00
Space group P2_1 (No. 4)
Inequivalent atoms, fractional coordinates:
Al  0.058  0.000  0.188 (multiplicity 2)
Al  0.431  0.874  0.693 (multiplicity 2)
Si  0.185  0.751  0.946 (multiplicity 2)
Ag  0.048  0.821  0.544 (multiplicity 2)
Ag  0.123  0.144  0.799 (multiplicity 2)
Ag  0.205  0.392  0.124 (multiplicity 2)
Ag  0.292  0.488  0.630 (multiplicity 2)
Ag  0.317  0.123  0.432 (multiplicity 2)
Ag  0.375  0.729  0.298 (multiplicity 2)
Ag  0.455  0.068  0.042 (multiplicity 2)



Entry 6:
# ZrPaCN
Theoretical X-ray diffraction stick pattern, Cu Kα X-rays. Input: a PBE-relaxed structure.
Intensities are scaled so that the largest is 100.

Main lines, in order of rising 2θ (5° ≤ 2θ ≤ 70°):
- 15.05°, I = 46
- 30.37°, I = 43
- 30.92°, I = 100
- 32.18°, I = 51
- 36.81°, I = 43
- 39.97°, I = 77
- 47.56°, I = 33
- 54.20°, I = 36
- 63.40°, I = 34
- 66.40°, I = 16

a b c (Å): 5.862 3.385 6.199
angles (deg): 90.00 108.30 90.00
Space group Cm (No. 8)
Inequivalent atoms, fractional coordinates:
Zr  0.000  0.000  0.000 (multiplicity 2)
Pa  0.322  0.500  0.468 (multiplicity 2)
C  0.407  0.000  0.222 (multiplicity 2)
N  0.244  0.000  0.732 (multiplicity 2)



Entry 7:
# Tm7Sn2Sb2
Theoretical X-ray diffraction stick pattern, Cu Kα X-rays. Input: a PBE-relaxed structure.
Intensities are scaled so that the largest is 100.

Main lines, in order of rising 2θ (5° ≤ 2θ ≤ 70°):
- 24.27°, I = 45
- 26.70°, I = 52
- 28.05°, I = 45
- 29.72°, I = 22
- 33.24°, I = 60
- 36.62°, I = 100
- 36.80°, I = 38
- 42.50°, I = 38
- 50.43°, I = 23
- 55.00°, I = 21

a b c (Å): 8.506 10.782 7.237
angles (deg): 90.00 90.00 90.00
Space group Cmmm (No. 65)
Inequivalent atoms, fractional coordinates:
Tm  0.000  0.000  0.000 (multiplicity 2)
Tm  0.000  0.500  0.266 (multiplicity 4)
Tm  0.250  0.250  0.279 (multiplicity 8)
Sn  0.181  0.000  0.500 (multiplicity 4)
Sb  0.000  0.280  0.000 (multiplicity 4)



Entry 8:
# Ca6S5
Theoretical X-ray diffraction stick pattern, Cu Kα X-rays. Input: a PBE-relaxed structure.
Intensities are scaled so that the largest is 100.

Main lines, in order of rising 2θ (5° ≤ 2θ ≤ 70°):
- 13.45°, I = 2
- 14.66°, I = 2
- 15.33°, I = 3
- 17.20°, I = 2
- 27.10°, I = 8
- 31.40°, I = 100
- 45.00°, I = 66
- 53.31°, I = 3
- 55.89°, I = 22
- 65.52°, I = 10

a b c (Å): 6.979 12.086 6.982
angles (deg): 90.00 109.50 90.00
Space group C2/m (No. 12)
Inequivalent atoms, fractional coordinates:
Ca  0.249  0.000  0.250 (multiplicity 4)
Ca  0.249  0.166  0.749 (multiplicity 8)
S  0.000  0.167  0.000 (multiplicity 4)
S  0.000  0.333  0.500 (multiplicity 4)
S  0.000  0.500  0.000 (multiplicity 2)



Entry 9:
# HfZr6Sc8
Theoretical X-ray diffraction stick pattern, Cu Kα X-rays. Input: a PBE-relaxed structure.
Intensities are scaled so that the largest is 100.

Main lines, in order of rising 2θ (5° ≤ 2θ ≤ 70°):
- 17.28°, I = 19
- 30.49°, I = 41
- 34.70°, I = 14
- 34.97°, I = 29
- 35.26°, I = 100
- 47.06°, I = 25
- 54.19°, I = 11
- 57.32°, I = 19
- 62.90°, I = 18
- 66.13°, I = 11

a b c (Å): 8.9564 8.9564 5.1323
angles (deg): 90.00 90.00 120.00
Space group P6/m (No. 175)
Inequivalent atoms, fractional coordinates:
Hf  0.0000  0.0000  0.0000 (multiplicity 1)
Zr  0.1367  0.7116  0.0000 (multiplicity 6)
Sc  0.0292  0.3278  0.5000 (multiplicity 6)
Sc  0.3333  0.6667  0.5000 (multiplicity 2)